Entry 1:
Computed powder diffractogram of CaLaMgTaO6 for CuKα, from a PBE-relaxed structure.

Most intense lines, 2θ from 5° to 70°, most intense first:
- d = 2.812 Å, 2θ 31.83, intensity 100, hkl 1 1 -3
- d = 4.639 Å, 2θ 19.13, intensity 49, hkl 0 1 1
- d = 4.562 Å, 2θ 19.46, intensity 47, hkl 1 0 -2
- d = 1.616 Å, 2θ 57.00, intensity 30, hkl 3 1 -1
- d = 2.393 Å, 2θ 37.58, intensity 26, hkl 2 1 -1
- d = 1.999 Å, 2θ 45.36, intensity 26, hkl 2 2 -2
- d = 2.793 Å, 2θ 32.05, intensity 25, hkl 2 0 -2
- d = 2.864 Å, 2θ 31.23, intensity 24, hkl 0 2 0

Structural model:
Cell: 5.586 5.728 9.680 Å, 90.00 125.23 90.00°
Space group Pc (No. 7)
One atom of each set of equivalent atoms:
Ca1 0.000 0.204 0.000 x2
La1 0.486 0.300 0.499 x2
Mg1 0.245 0.246 0.751 x2
Ta1 0.746 0.243 0.250 x2
O1 0.083 0.054 0.294 x2
O2 0.411 0.439 0.207 x2
O3 0.514 0.047 0.708 x2
O4 0.589 0.275 0.006 x2
O5 0.907 0.218 0.496 x2
O6 0.988 0.465 0.799 x2

Entry 2:
Computed powder diffractogram of Ca2La2MgTi3O12 for CuKα, from a PBE-relaxed structure.

Most intense lines, 2θ from 5° to 70°, most intense first:
- d = 2.765 Å, 2θ 32.38, intensity 100, hkl 4 1 1
- d = 15.599 Å, 2θ 5.67, intensity 50, hkl 1 0 0
- d = 1.962 Å, 2θ 46.27, intensity 28, hkl 0 2 2
- d = 1.594 Å, 2θ 57.86, intensity 27, hkl 4 3 1
- d = 3.805 Å, 2θ 23.38, intensity 24, hkl 1 1 -1
- d = 2.790 Å, 2θ 32.08, intensity 19, hkl 0 0 2
- d = 1.949 Å, 2θ 46.59, intensity 15, hkl 8 0 0
- d = 1.383 Å, 2θ 67.76, intensity 13, hkl 8 2 2

Structural model:
Cell: 15.599 5.518 5.581 Å, 90.00 90.00 90.00°
Space group P2_1/c (No. 14)
One atom of each set of equivalent atoms:
Ca1 0.121 0.010 0.038 x4
La1 0.381 0.515 0.469 x4
Mg1 0.500 0.000 0.500 x2
Ti1 0.000 0.000 0.500 x2
Ti2 0.245 0.006 0.491 x4
O1 0.022 0.219 0.781 x4
O2 0.122 0.584 0.981 x4
O3 0.222 0.222 0.783 x4
O4 0.269 0.722 0.727 x4
O5 0.364 0.080 0.516 x4
O6 0.478 0.717 0.717 x4

Entry 3:
Computed powder diffractogram of Ca2La2MgTi3O12 for CuKα, from a PBE-relaxed structure.

Most intense lines, 2θ from 5° to 70°, most intense first:
- d = 2.770 Å, 2θ 32.32, intensity 100, hkl 1 -1 2
- d = 4.529 Å, 2θ 19.60, intensity 43, hkl 0 1 -1
- d = 1.961 Å, 2θ 46.31, intensity 35, hkl 2 -2 0
- d = 1.597 Å, 2θ 57.74, intensity 34, hkl 3 1 -2
- d = 2.360 Å, 2θ 38.13, intensity 26, hkl 1 0 -3
- d = 2.782 Å, 2θ 32.17, intensity 24, hkl 0 2 0
- d = 2.763 Å, 2θ 32.40, intensity 23, hkl 2 0 0
- d = 1.957 Å, 2θ 46.39, intensity 17, hkl 0 0 4

Structural model:
Cell: 5.526 5.565 7.829 Å, 89.94 89.96 89.90°
Space group P1 (No. 1)
One atom of each set of equivalent atoms:
Ca1 0.000 0.000 0.000 x1
Ca2 0.495 0.433 0.484 x1
La1 0.009 0.944 0.481 x1
La2 0.516 0.501 0.004 x1
Mg1 0.506 0.970 0.242 x1
Ti1 0.006 0.468 0.242 x1
Ti2 0.007 0.469 0.741 x1
Ti3 0.506 0.971 0.743 x1
O1 0.081 0.451 0.988 x1
O2 0.215 0.191 0.280 x1
O3 0.223 0.189 0.701 x1
O4 0.284 0.675 0.283 x1
O5 0.286 0.682 0.699 x1
O6 0.426 0.951 0.981 x1
O7 0.581 0.986 0.502 x1
O8 0.727 0.252 0.783 x1
O9 0.731 0.259 0.204 x1
O10 0.791 0.750 0.785 x1
O11 0.801 0.747 0.200 x1
O12 0.924 0.481 0.496 x1

Entry 4:
Computed powder diffractogram of Na4CaLaP3O12 for CuKα, from a PBE-relaxed structure.

Most intense lines, 2θ from 5° to 70°, most intense first:
- d = 3.042 Å, 2θ 29.36, intensity 100, hkl 1 1 6
- d = 4.807 Å, 2θ 18.46, intensity 70, hkl 1 0 4
- d = 2.771 Å, 2θ 32.31, intensity 64, hkl 3 0 0
- d = 2.048 Å, 2θ 44.22, intensity 38, hkl 2 2 6
- d = 6.795 Å, 2θ 13.03, intensity 38, hkl 0 1 2
- d = 1.647 Å, 2θ 55.81, intensity 28, hkl 4 1 6
- d = 4.097 Å, 2θ 21.69, intensity 24, hkl 1 1 3
- d = 1.814 Å, 2θ 50.30, intensity 22, hkl 4 1 0

Structural model:
Cell: 9.5954 9.5954 23.6122 Å, 90.00 90.00 120.00°
Space group R3c (No. 161, hexagonal axes)
One atom of each set of equivalent atoms:
Na1 0.0000 0.0000 0.0000 x6
Na2 0.0400 0.3451 0.0869 x18
Ca1 0.0000 0.0000 0.3524 x6
La1 0.0000 0.0000 0.1602 x6
P1 0.0279 0.3571 0.9239 x18
O1 0.0130 0.1881 0.9204 x18
O2 0.0173 0.2263 0.2029 x18
O3 0.1304 0.4444 0.9761 x18
O4 0.1476 0.4768 0.2591 x18